Diffraction record for Ba5Cr3O12F. The X-ray diffraction stick pattern is computed, not measured: it uses a PBE+U-relaxed structure and Cu Kα (λ = 1.5418 Å).

Main lines, in order of rising 2θ (10° ≤ 2θ ≤ 90°):
| 2θ (°) | d (Å) | I_rel |
| --- | --- | --- |
| 24.38 | 3.651 | 174 |
| 25.75 | 3.460 | 170 |
| 28.10 | 3.176 | 1000 |
| 29.27 | 3.051 | 290 |
| 40.99 | 2.202 | 187 |
| 42.95 | 2.106 | 194 |
| 44.63 | 2.031 | 127 |
| 45.73 | 1.984 | 148 |

Atomic structure:
```
Ba5Cr3O12F
1.0
10.5694 0.0000 0.0000
-5.2847 9.1533 0.0000
0.0000 0.0000 7.9629
Ba Cr O F
10 6 24 2
Direct
0.0118 0.2541 0.2500
0.2423 0.9882 0.2500
0.2541 0.2423 0.7500
0.3333 0.6667 0.9999
0.3333 0.6667 0.5001
0.6667 0.3333 0.0001
0.6667 0.3333 0.4999
0.7459 0.7577 0.2500
0.7577 0.0118 0.7500
0.9882 0.7459 0.7500
0.0321 0.4011 0.7500
0.3690 0.9679 0.7500
0.4011 0.3690 0.2500
0.5989 0.6310 0.7500
0.6310 0.0321 0.2500
0.9679 0.5989 0.2500
0.0902 0.3490 0.5742
0.0902 0.3490 0.9258
0.1264 0.5902 0.7500
0.1566 0.6810 0.2500
0.2589 0.9098 0.5742
0.2589 0.9098 0.9258
0.3190 0.4756 0.2500
0.3490 0.2589 0.0742
0.3490 0.2589 0.4258
0.4098 0.5362 0.7500
0.4638 0.8736 0.7500
0.4756 0.1566 0.7500
0.5244 0.8434 0.2500
0.5362 0.1264 0.2500
0.5902 0.4638 0.2500
0.6510 0.7411 0.5742
0.6510 0.7411 0.9258
0.6810 0.5244 0.7500
0.7411 0.0902 0.0742
0.7411 0.0902 0.4258
0.8434 0.3190 0.7500
0.8736 0.4098 0.2500
0.9098 0.6510 0.0742
0.9098 0.6510 0.4258
0.0000 0.0000 0.2500
0.0000 0.0000 0.7500
```


Diffraction record for Sm2CrO6. The X-ray diffraction stick pattern is computed, not measured: it uses a PBE+U-relaxed structure and Cu Kα (λ = 1.5418 Å).

Main lines, in order of rising 2θ (10° ≤ 2θ ≤ 90°):
| 2θ (°) | d (Å) | I_rel |
| --- | --- | --- |
| 25.14 | 3.542 | 1000 |
| 32.28 | 2.773 | 831 |
| 35.86 | 2.504 | 238 |
| 49.01 | 1.859 | 698 |
| 51.61 | 1.771 | 176 |
| 58.24 | 1.584 | 156 |
| 62.20 | 1.492 | 226 |
| 73.92 | 1.282 | 155 |

Atomic structure:
```
Sm2CrO6
1.0
5.0093 0.0000 0.0000
0.0000 5.0093 0.0000
0.0000 0.0000 9.9916
Sm Cr O
4 2 12
Direct
0.0000 0.0000 0.1717
0.0000 0.0000 0.8283
0.5000 0.5000 0.3283
0.5000 0.5000 0.6717
0.0000 0.0000 0.5000
0.5000 0.5000 0.0000
0.1812 0.1812 0.3619
0.1812 0.1812 0.6381
0.2431 0.2431 0.0000
0.2569 0.7431 0.5000
0.3188 0.6812 0.1381
0.3188 0.6812 0.8619
0.6812 0.3188 0.1381
0.6812 0.3188 0.8619
0.7431 0.2569 0.5000
0.7569 0.7569 0.0000
0.8188 0.8188 0.3619
0.8188 0.8188 0.6381
```